[1]
This entry pairs a crystal structure of GaAgPb2S4 with its calculated X-ray powder pattern. Radiation: Cu Kα (λ = 1.5418 Å). Structure: a DFT-relaxed cell (GGA-PBE, Alexandria).
Intensities are scaled so that the largest is 100.

Peak list (10 most intense, 10° ≤ 2θ ≤ 90°, sorted by position)
| hkl | two_theta | intensity |
| --- | --- | --- |
| 1 -1 1 | 24.3 | 97 |
| 1 1 -2 | 28.0 | 100 |
| 0 2 -1 | 28.3 | 36 |
| 2 0 -1 | 30.0 | 33 |
| 0 0 2 | 32.8 | 19 |
| 2 -2 0 | 36.4 | 27 |
| 0 2 1 | 43.8 | 32 |
| 1 -3 2 | 45.4 | 24 |
| 2 2 -2 | 46.4 | 19 |
| -3 1 2 | 47.7 | 21 |

Crystal structure
Unit cell a=6.1237 b=6.4863 c=6.7165 alpha=112.34 beta=110.11 gamma=103.13
Space group P1 (No. 1)
Unique sites:
Ga: 0.0000 0.0000 0.0000 [1 per cell]
Ag: 0.2585 0.7583 0.5174 [1 per cell]
Pb: 0.5447 0.5453 0.0898 [1 per cell]
Pb: 0.7737 0.2738 0.5504 [1 per cell]
S: 0.1414 0.0915 0.7526 [1 per cell]
S: 0.2967 0.8898 0.2066 [1 per cell]
S: 0.6117 0.6615 0.7514 [1 per cell]
S: 0.9094 0.3166 0.2085 [1 per cell]

***

[2]
This entry pairs a crystal structure of Th3CoTe2 with its calculated X-ray powder pattern. Radiation: Cu Kα (λ = 1.5418 Å). Structure: a DFT-relaxed cell (GGA-PBE, Alexandria).
Intensities are scaled so that the largest is 100.

Peak list (10 most intense, 10° ≤ 2θ ≤ 90°, sorted by position)
| hkl | two_theta | intensity |
| --- | --- | --- |
| 1 3 -1 | 25.3 | 16 |
| 2 0 -2 | 28.9 | 100 |
| 1 3 -2 | 31.3 | 14 |
| 0 0 3 | 36.2 | 8 |
| 1 3 2 | 37.2 | 6 |
| 2 0 2 | 40.4 | 31 |
| 3 3 -1 | 42.2 | 33 |
| 4 0 0 | 51.9 | 18 |
| 1 3 4 | 59.3 | 6 |
| 4 6 0 | 69.1 | 6 |

Crystal structure
Unit cell a=7.4222 b=12.8442 c=7.8603 alpha=90.00 beta=108.54 gamma=90.00
Space group C2/m (No. 12)
Unique sites:
Th: 0.1962 0.0000 0.2013 [4 per cell]
Th: 0.2439 0.1863 0.7951 [8 per cell]
Co: 0.0000 0.1680 0.0000 [4 per cell]
Te: 0.0000 0.0000 0.5000 [2 per cell]
Te: 0.0000 0.3477 0.5000 [4 per cell]
Te: 0.0000 0.5000 0.0000 [2 per cell]

***

[3]
This entry pairs a crystal structure of Ca4Pb2Se with its calculated X-ray powder pattern. Radiation: Cu Kα (λ = 1.5418 Å). Structure: a DFT-relaxed cell (GGA-PBE, Alexandria).
Intensities are scaled so that the largest is 100.

Peak list (10 most intense, 10° ≤ 2θ ≤ 90°, sorted by position)
| hkl | two_theta | intensity |
| --- | --- | --- |
| 0 0 2 | 11.6 | 26 |
| 1 0 1 | 16.9 | 57 |
| 1 1 0 | 22.5 | 100 |
| 1 0 3 | 23.6 | 37 |
| 2 0 0 | 32.0 | 76 |
| 1 1 4 | 32.5 | 55 |
| 1 0 5 | 33.3 | 87 |
| 2 2 0 | 45.9 | 28 |
| 2 1 5 | 46.9 | 67 |
| 3 2 5 | 67.7 | 22 |

Crystal structure
Unit cell a=5.5931 b=5.5931 c=15.3226 alpha=90.00 beta=90.00 gamma=90.00
Space group I4/mmm (No. 139)
Unique sites:
Ca: 0.0000 0.0000 0.1849 [4 per cell]
Ca: 0.0000 0.5000 0.0000 [4 per cell]
Pb: 0.0000 0.0000 0.3860 [4 per cell]
Se: 0.0000 0.0000 0.0000 [2 per cell]

***

[4]
This entry pairs a crystal structure of LiYGa4Ni2 with its calculated X-ray powder pattern. Radiation: Cu Kα (λ = 1.5418 Å). Structure: a DFT-relaxed cell (GGA-PBE, Alexandria).
Intensities are scaled so that the largest is 100.

Peak list (10 most intense, 10° ≤ 2θ ≤ 90°, sorted by position)
| hkl | two_theta | intensity |
| --- | --- | --- |
| 1 0 1 | 25.2 | 11 |
| 0 1 5 | 30.5 | 45 |
| 1 0 7 | 35.2 | 22 |
| 0 1 8 | 37.8 | 72 |
| 1 1 0 | 43.9 | 100 |
| 0 1 11 | 46.6 | 27 |
| 2 0 8 | 59.3 | 18 |
| 0 1 17 | 67.6 | 11 |
| 1 2 8 | 76.7 | 17 |
| 3 0 0 | 80.8 | 16 |

Crystal structure
Unit cell a=4.1224 b=4.1224 c=25.5539 alpha=90.00 beta=90.00 gamma=120.00
Space group R-3m (No. 166, hexagonal axes)
Unique sites:
Li: 0.0000 0.0000 0.0000 [3 per cell]
Y: 0.0000 0.0000 0.5000 [3 per cell]
Ga: 0.0000 0.0000 0.0978 [6 per cell]
Ga: 0.0000 0.0000 0.3707 [6 per cell]
Ni: 0.0000 0.0000 0.2670 [6 per cell]

***

[5]
This entry pairs a crystal structure of Mo3Rh with its calculated X-ray powder pattern. Radiation: Cu Kα (λ = 1.5418 Å). Structure: a DFT-relaxed cell (GGA-PBE, Alexandria).
Intensities are scaled so that the largest is 100.

Peak list (10 most intense, 10° ≤ 2θ ≤ 90°, sorted by position)
| hkl | two_theta | intensity |
| --- | --- | --- |
| 0 1 2 | 40.1 | 100 |
| 1 1 -1 | 40.7 | 92 |
| 1 0 1 | 41.0 | 45 |
| 0 2 0 | 41.2 | 46 |
| 1 0 -3 | 57.4 | 16 |
| 1 2 1 | 59.6 | 29 |
| 1 2 -3 | 73.1 | 16 |
| 1 1 3 | 73.7 | 16 |
| 0 3 2 | 74.4 | 16 |
| 1 3 -1 | 74.8 | 15 |

Crystal structure
Unit cell a=2.6958 b=4.3806 c=5.3390 alpha=90.00 beta=100.96 gamma=90.00
Space group P2/m (No. 10)
Unique sites:
Mo: 0.0000 0.0000 0.0000 [1 per cell]
Mo: 0.2053 0.5000 0.7499 [2 per cell]
Rh: 0.5000 0.0000 0.5000 [1 per cell]

***

[6]
This entry pairs a crystal structure of SrB4Pt6 with its calculated X-ray powder pattern. Radiation: Cu Kα (λ = 1.5418 Å). Structure: a DFT-relaxed cell (GGA-PBE, Alexandria).
Intensities are scaled so that the largest is 100.

Peak list (10 most intense, 10° ≤ 2θ ≤ 90°, sorted by position)
| hkl | two_theta | intensity |
| --- | --- | --- |
| 1 0 0 | 16.5 | 41 |
| 2 0 0 | 33.4 | 100 |
| 0 0 2 | 33.7 | 26 |
| 1 0 2 | 37.8 | 23 |
| 1 1 2 | 44.9 | 13 |
| 2 1 1 | 48.0 | 13 |
| 2 0 2 | 48.2 | 54 |
| 2 2 0 | 59.7 | 17 |
| 2 2 2 | 70.3 | 14 |
| 2 0 4 | 80.7 | 17 |

Crystal structure
Unit cell a=6.1978 b=6.1978 c=5.3157 alpha=90.00 beta=90.00 gamma=120.00
Space group P-3m1 (No. 164)
Unique sites:
Sr: 0.0000 0.0000 0.0000 [1 per cell]
B: 0.3333 0.6667 0.5735 [2 per cell]
B: 0.3333 0.6667 0.9243 [2 per cell]
Pt: 0.0350 0.5175 0.2508 [6 per cell]

***

[7]
This entry pairs a crystal structure of Mg2CuH5 with its calculated X-ray powder pattern. Radiation: Cu Kα (λ = 1.5418 Å). Structure: a DFT-relaxed cell (GGA-PBE, Alexandria).
Intensities are scaled so that the largest is 100.

Peak list (10 most intense, 10° ≤ 2θ ≤ 90°, sorted by position)
| hkl | two_theta | intensity |
| --- | --- | --- |
| 1 1 1 | 18.1 | 23 |
| 1 1 3 | 27.7 | 100 |
| 2 0 2 | 27.8 | 84 |
| 2 2 0 | 33.5 | 26 |
| 2 2 2 | 36.8 | 18 |
| 3 1 1 | 38.4 | 75 |
| 1 1 5 | 41.0 | 30 |
| 2 2 4 | 45.3 | 21 |
| 3 3 3 | 56.5 | 33 |
| 4 0 4 | 57.5 | 30 |

Crystal structure
Unit cell a=7.5572 b=7.5662 c=12.0902 alpha=90.00 beta=90.00 gamma=90.00
Space group Fddd (No. 70, origin choice 2)
Unique sites:
Mg: 0.0000 0.0000 0.0000 [16 per cell]
Cu: 0.1250 0.1250 0.6250 [8 per cell]
H: 0.0059 0.0060 0.3019 [32 per cell]
H: 0.1250 0.1250 0.1250 [8 per cell]

***

[8]
This entry pairs a crystal structure of VInPd6 with its calculated X-ray powder pattern. Radiation: Cu Kα (λ = 1.5418 Å). Structure: a DFT-relaxed cell (GGA-PBE, Alexandria).
Intensities are scaled so that the largest is 100.

Peak list (10 most intense, 10° ≤ 2θ ≤ 90°, sorted by position)
| hkl | two_theta | intensity |
| --- | --- | --- |
| 1 0 1 | 25.1 | 2 |
| 0 0 3 | 33.9 | 5 |
| 1 1 2 | 39.4 | 100 |
| 0 0 4 | 45.7 | 15 |
| 2 0 0 | 45.8 | 33 |
| 2 0 4 | 66.7 | 19 |
| 2 2 0 | 66.8 | 10 |
| 1 1 6 | 80.2 | 10 |
| 3 1 2 | 80.4 | 24 |
| 2 2 4 | 84.7 | 10 |

Crystal structure
Unit cell a=3.9601 b=3.9601 c=7.9431 alpha=90.00 beta=90.00 gamma=90.00
Space group P4/mmm (No. 123)
Unique sites:
V: 0.0000 0.0000 0.0000 [1 per cell]
In: 0.0000 0.0000 0.5000 [1 per cell]
Pd: 0.0000 0.5000 0.2354 [4 per cell]
Pd: 0.5000 0.5000 0.0000 [1 per cell]
Pd: 0.5000 0.5000 0.5000 [1 per cell]